[1]
# SiO2
Theoretical XRD peak list, copper Kα. Input: DFT lattice parameters and positions (PBE).
No peak broadening, texture or thermal motion is included.

Cell and atoms:
Cell: 7.2139 7.2139 42.3448 Å, 90.00 90.00 90.00°
Space group I4_1/amd (No. 141, origin choice 2)
Inequivalent atoms, fractional coordinates:
Si1 0.0000 0.0310 0.4621 [16 per cell]
Si2 0.0000 0.0431 0.8141 [16 per cell]
Si3 0.0000 0.2500 0.8750 [4 per cell]
O1 0.0000 0.0000 0.5000 [8 per cell]
O2 0.0000 0.0656 0.8525 [16 per cell]
O3 0.0000 0.2500 0.2963 [8 per cell]
O4 0.0000 0.2500 0.7983 [8 per cell]
O5 0.1840 0.0639 0.5531 [32 per cell]

Largest 10 diffraction maxima, by angle, 2θ = 10–90°:
| index | 2θ/deg | intensity |
| --- | --- | --- |
| 1 0 3 | 13.79 | 100.0 |
| 0 0 8 | 16.75 | 21.8 |
| 1 1 2 | 17.89 | 17.4 |
| 0 0 12 | 25.24 | 7.7 |
| 1 0 11 | 26.24 | 4.4 |
| 2 0 6 | 27.76 | 19.7 |
| 2 1 3 | 28.38 | 15.1 |
| 2 1 5 | 29.63 | 4.3 |
| 2 1 11 | 36.33 | 3.4 |
| 4 0 0 | 50.61 | 3.7 |

***

[2]
# CuH5C6SO
Theoretical XRD peak list, copper Kα. Input: DFT lattice parameters and positions (PBE).
No peak broadening, texture or thermal motion is included.

Cell and atoms:
Cell: 4.0624 5.3771 28.5672 Å, 90.00 90.00 90.00°
Space group P2_12_12_1 (No. 19)
Inequivalent atoms, fractional coordinates:
Cu1 0.2297 0.0008 0.2359 [4 per cell]
H1 0.0207 0.0258 0.6284 [4 per cell]
H2 0.0226 0.8515 0.5469 [4 per cell]
H3 0.0509 0.7696 0.0941 [4 per cell]
H4 0.0572 0.5978 0.1757 [4 per cell]
H5 0.0580 0.8416 0.9853 [4 per cell]
C1 0.0729 0.0953 0.3976 [4 per cell]
C2 0.0765 0.0008 0.3520 [4 per cell]
C3 0.0985 0.3481 0.8789 [4 per cell]
C4 0.1018 0.2538 0.9246 [4 per cell]
C5 0.2386 0.9719 0.4334 [4 per cell]
C6 0.2474 0.7803 0.3423 [4 per cell]
S1 0.2347 0.3421 0.7839 [4 per cell]
O1 0.2316 0.0758 0.4786 [4 per cell]

Largest 10 diffraction maxima, by angle, 2θ = 10–90°:
| index | 2θ/deg | intensity |
| --- | --- | --- |
| 0 0 4 | 12.39 | 100.0 |
| 0 0 6 | 18.64 | 67.9 |
| 0 1 4 | 20.68 | 65.0 |
| 1 0 2 | 22.76 | 48.4 |
| 0 0 8 | 24.96 | 48.0 |
| 1 1 0 | 27.51 | 94.7 |
| 1 1 1 | 27.70 | 50.5 |
| 0 1 8 | 30.04 | 59.2 |
| 1 1 4 | 30.28 | 64.7 |
| 0 1 10 | 35.63 | 50.9 |

***

[3]
# TmNi
Theoretical XRD peak list, copper Kα. Input: DFT lattice parameters and positions (PBE).
No peak broadening, texture or thermal motion is included.

Cell and atoms:
Cell: 6.9496 4.1029 5.3658 Å, 90.00 90.00 90.00°
Space group Pnma (No. 62)
Inequivalent atoms, fractional coordinates:
Tm1 0.1800 0.2500 0.1335 [4 per cell]
Ni1 0.0372 0.2500 0.6282 [4 per cell]

Largest 10 diffraction maxima, by angle, 2θ = 10–90°:
| index | 2θ/deg | intensity |
| --- | --- | --- |
| 0 1 1 | 27.36 | 40.7 |
| 1 1 1 | 30.29 | 87.3 |
| 2 0 1 | 30.65 | 28.6 |
| 2 1 0 | 33.80 | 100.0 |
| 1 0 2 | 35.88 | 93.2 |
| 2 1 1 | 37.85 | 86.4 |
| 1 1 2 | 42.30 | 76.8 |
| 3 0 1 | 42.51 | 43.3 |
| 0 2 0 | 44.15 | 51.2 |
| 1 2 2 | 58.14 | 46.3 |

***

[4]
# UB2Ru3
Theoretical XRD peak list, copper Kα. Input: DFT lattice parameters and positions (PBE).
No peak broadening, texture or thermal motion is included.

Cell and atoms:
Cell: 5.5208 5.5208 2.9680 Å, 90.00 90.00 120.00°
Space group P6/mmm (No. 191)
Inequivalent atoms, fractional coordinates:
U1 0.0000 0.0000 0.0000 [1 per cell]
B1 0.3333 0.6667 0.0000 [2 per cell]
Ru1 0.0000 0.5000 0.5000 [3 per cell]

Largest 10 diffraction maxima, by angle, 2θ = 10–90°:
| index | 2θ/deg | intensity |
| --- | --- | --- |
| 1 0 0 | 18.56 | 24.2 |
| 1 0 1 | 35.60 | 86.5 |
| 2 0 0 | 37.63 | 100.0 |
| 1 1 1 | 44.84 | 52.1 |
| 2 1 1 | 59.93 | 39.5 |
| 3 0 1 | 66.60 | 16.3 |
| 2 2 0 | 67.91 | 19.2 |
| 2 0 2 | 75.39 | 26.6 |
| 3 1 1 | 79.10 | 18.3 |
| 4 0 0 | 80.33 | 11.3 |

***

[5]
# CdH2S2O8
Theoretical XRD peak list, copper Kα. Input: DFT lattice parameters and positions (PBE).
No peak broadening, texture or thermal motion is included.

Cell and atoms:
Cell: 5.4466 13.6914 8.7084 Å, 90.00 92.40 90.00°
Space group P2_1/c (No. 14)
Inequivalent atoms, fractional coordinates:
Cd1 0.2224 0.0463 0.2546 [4 per cell]
H1 0.0968 0.2234 0.8031 [4 per cell]
H2 0.4300 0.7456 0.4273 [4 per cell]
S1 0.2527 0.6423 0.0559 [4 per cell]
S2 0.2971 0.0936 0.8750 [4 per cell]
O1 0.0216 0.6644 0.1336 [4 per cell]
O2 0.1532 0.0040 0.8515 [4 per cell]
O3 0.1955 0.1709 0.7543 [4 per cell]
O4 0.2383 0.5481 0.9787 [4 per cell]
O5 0.2633 0.7263 0.9314 [4 per cell]
O6 0.2732 0.1381 0.0285 [4 per cell]
O7 0.4444 0.5791 0.6607 [4 per cell]
O8 0.4729 0.6537 0.1575 [4 per cell]

Largest 10 diffraction maxima, by angle, 2θ = 10–90°:
| index | 2θ/deg | intensity |
| --- | --- | --- |
| 0 2 0 | 12.93 | 100.0 |
| 1 1 1 | 20.66 | 47.6 |
| 1 2 1 | 23.55 | 63.0 |
| 0 2 2 | 24.24 | 48.8 |
| 1 3 0 | 25.47 | 52.9 |
| 1 3 -1 | 27.23 | 40.2 |
| 1 3 -2 | 32.41 | 37.4 |
| 2 0 0 | 32.92 | 42.7 |
| 1 1 3 | 36.30 | 32.6 |
| 0 4 3 | 40.78 | 32.8 |

***

[6]
# CeH3C3O6
Theoretical XRD peak list, copper Kα. Input: DFT lattice parameters and positions (PBE).
No peak broadening, texture or thermal motion is included.

Cell and atoms:
Cell: 10.7877 10.7877 4.1169 Å, 90.00 90.00 120.00°
Space group R3m (No. 160, hexagonal axes)
Inequivalent atoms, fractional coordinates:
Ce1 0.0000 0.0000 0.0000 [3 per cell]
H1 0.1709 0.3418 0.2026 [9 per cell]
C1 0.0284 0.5142 0.1247 [9 per cell]
O1 0.0846 0.1692 0.5024 [9 per cell]
O2 0.1984 0.3967 0.6831 [9 per cell]

Largest 10 diffraction maxima, by angle, 2θ = 10–90°:
| index | 2θ/deg | intensity |
| --- | --- | --- |
| 1 1 0 | 16.43 | 100.0 |
| 1 0 1 | 23.62 | 30.0 |
| 0 2 1 | 28.91 | 34.5 |
| 2 2 0 | 33.22 | 36.1 |
| 2 1 1 | 33.43 | 43.1 |
| 1 3 1 | 41.16 | 29.3 |
| 4 1 0 | 44.44 | 13.4 |
| 4 0 1 | 44.60 | 12.6 |
| 0 1 2 | 45.10 | 16.6 |
| 3 2 1 | 47.85 | 20.7 |